This entry pairs a crystal structure of Li2ThSnBr8 with its calculated powder diffraction line list. Radiation: Cu Kα. Structure: a crystal structure in Alexandria, relaxed with PBE.
Kinematic intensities with the Lorentz-polarization factor, no thermal factor.

```
data_Li2ThSnBr8
_chemical_formula_sum 'Li2 Th1 Sn1 Br8'
_symmetry_space_group_name_H-M 'P -1'
_symmetry_Int_Tables_number 2
_cell_length_a 7.0803
_cell_length_b 7.2883
_cell_length_c 8.9225
_cell_angle_alpha 73.33
_cell_angle_beta 89.97
_cell_angle_gamma 77.92
loop_
_symmetry_equiv_pos_as_xyz
'x,y,z'
'-x,-y,-z'
loop_
_atom_site_label
_atom_site_type_symbol
_atom_site_fract_x
_atom_site_fract_y
_atom_site_fract_z
_atom_site_occupancy
Li1 Li 0.0424 0.1422 0.3293 1
Th1 Th 0.5000 0.5000 0.0000 1
Sn1 Sn 0.5000 0.5000 0.5000 1
Br1 Br 0.1159 0.7702 0.4413 1
Br2 Br 0.1303 0.7536 0.9422 1
Br3 Br 0.3790 0.2660 0.2919 1
Br4 Br 0.3833 0.2788 0.8139 1
```

Largest 12 diffraction maxima, low angle first, 2θ from 15° to 90°:
d 5.487, I = 68, (1 1 0); d 4.395, I = 39, (1 -1 0); d 4.265, I = 27, (0 0 2); d 3.401, I = 25, (2 1 0); d 3.100, I = 100, (1 1 -2); d 3.050, I = 95, (1 2 2); d 2.841, I = 83, (2 -1 0); d 2.230, I = 41, (0 1 4); d 2.122, I = 37, (2 3 0); d 2.107, I = 45, (1 -2 2); d 2.084, I = 68, (3 1 2); d 2.073, I = 37, (-1 3 2)



This entry pairs a crystal structure of Li2ZnSnBr6 with its calculated powder diffraction line list. Radiation: Cu Kα. Structure: a crystal structure in Alexandria, relaxed with PBE.
Kinematic intensities with the Lorentz-polarization factor, no thermal factor.

```
data_Li2ZnSnBr6
_chemical_formula_sum 'Li6 Zn3 Sn3 Br18'
_symmetry_space_group_name_H-M 'R 3'
_symmetry_Int_Tables_number 146
_symmetry_space_group_name_Hall 'R 3'
_cell_length_a 6.9722
_cell_length_b 6.9722
_cell_length_c 19.2628
_cell_angle_alpha 90.00
_cell_angle_beta 90.00
_cell_angle_gamma 120.00
loop_
_atom_site_label
_atom_site_type_symbol
_atom_site_fract_x
_atom_site_fract_y
_atom_site_fract_z
_atom_site_occupancy
Li1 Li 0.0000 0.0000 0.0000 1
Li2 Li 0.0000 0.0000 0.4964 1
Zn1 Zn 0.0000 0.0000 0.6883 1
Sn1 Sn 0.0000 0.0000 0.1911 1
Br1 Br 0.0039 0.3419 0.4209 1
Br2 Br 0.0222 0.6400 0.2632 1
```

Largest 12 diffraction maxima, low angle first, 2θ from 15° to 90°:
d 5.116, I = 37, (0 1 2); d 3.765, I = 16, (1 0 4); d 3.210, I = 12, (0 0 6); d 3.064, I = 100, (1 1 3); d 2.881, I = 10, (2 0 2); d 2.362, I = 50, (2 -1 6); d 2.062, I = 11, (3 -1 4); d 2.013, I = 36, (3 0 0); d 1.824, I = 20, (1 1 9); d 1.682, I = 14, (4 -2 3); d 1.532, I = 11, (2 2 6); d 1.255, I = 10, (0 3 12)



This entry pairs a crystal structure of Sr2LiBr5 with its calculated powder diffraction line list. Radiation: Cu Kα. Structure: a crystal structure in Alexandria, relaxed with PBE.
Kinematic intensities with the Lorentz-polarization factor, no thermal factor.

```
data_Sr2LiBr5
_chemical_formula_sum 'Sr8 Li4 Br20'
_symmetry_space_group_name_H-M 'P 1 21/c 1'
_symmetry_Int_Tables_number 14
_cell_length_a 12.7111
_cell_length_b 9.5921
_cell_length_c 9.1906
_cell_angle_alpha 90.00
_cell_angle_beta 95.20
_cell_angle_gamma 90.00
loop_
_symmetry_equiv_pos_as_xyz
'x,y,z'
'-x,-y,-z'
'-x,y+1/2,-z+1/2'
'x,-y+1/2,z+1/2'
loop_
_atom_site_label
_atom_site_type_symbol
_atom_site_fract_x
_atom_site_fract_y
_atom_site_fract_z
_atom_site_occupancy
Sr1 Sr 0.0335 0.1207 0.2530 1
Sr2 Sr 0.3639 0.1573 0.9644 1
Li1 Li 0.3052 0.6056 0.9693 1
Br1 Br 0.0907 0.6516 0.9534 1
Br2 Br 0.1097 0.1014 0.9065 1
Br3 Br 0.2730 0.0851 0.2671 1
Br4 Br 0.3839 0.0718 0.6483 1
Br5 Br 0.3955 0.6629 0.4959 1
```

Largest 12 diffraction maxima, low angle first, 2θ from 15° to 90°:
d 4.434, I = 43, (1 0 -2); d 4.220, I = 53, (3 0 0); d 3.977, I = 40, (1 2 1); d 3.598, I = 50, (2 2 -1); d 3.460, I = 49, (2 2 1); d 3.100, I = 38, (1 3 0); d 2.914, I = 46, (1 3 1); d 2.889, I = 72, (1 1 -3); d 2.721, I = 68, (4 0 -2); d 2.574, I = 84, (0 2 3); d 2.488, I = 100, (4 2 1); d 2.398, I = 41, (0 4 0)



This entry pairs a crystal structure of Sr2LiBr6 with its calculated powder diffraction line list. Radiation: Cu Kα. Structure: a crystal structure in Alexandria, relaxed with PBE.
Kinematic intensities with the Lorentz-polarization factor, no thermal factor.

```
data_Sr2LiBr6
_chemical_formula_sum 'Sr4 Li2 Br12'
_symmetry_space_group_name_H-M 'P 1 21/c 1'
_symmetry_Int_Tables_number 14
_cell_length_a 7.1356
_cell_length_b 8.0915
_cell_length_c 11.6612
_cell_angle_alpha 90.00
_cell_angle_beta 124.60
_cell_angle_gamma 90.00
loop_
_symmetry_equiv_pos_as_xyz
'x,y,z'
'-x,-y,-z'
'-x,y+1/2,-z+1/2'
'x,-y+1/2,z+1/2'
loop_
_atom_site_label
_atom_site_type_symbol
_atom_site_fract_x
_atom_site_fract_y
_atom_site_fract_z
_atom_site_occupancy
Sr1 Sr 0.2087 0.1240 0.2459 1
Li1 Li 0.5000 0.0000 0.0000 1
Br1 Br 0.1242 0.1586 0.9375 1
Br2 Br 0.2779 0.6826 0.9426 1
Br3 Br 0.3801 0.0257 0.7395 1
```

Largest 12 diffraction maxima, low angle first, 2θ from 15° to 90°:
d 3.275, I = 48, (1 2 -2); d 3.261, I = 45, (2 1 -2); d 3.134, I = 59, (2 1 -1); d 3.093, I = 77, (0 2 2); d 3.042, I = 72, (2 1 -3); d 2.874, I = 55, (1 2 1); d 2.862, I = 63, (1 0 -4); d 2.799, I = 100, (1 1 2); d 2.522, I = 71, (1 3 -1); d 2.510, I = 75, (0 2 3); d 2.101, I = 42, (3 1 -1); d 2.020, I = 41, (3 1 -5)



This entry pairs a crystal structure of LiTa2Br8 with its calculated powder diffraction line list. Radiation: Cu Kα. Structure: a crystal structure in Alexandria, relaxed with PBE.
Kinematic intensities with the Lorentz-polarization factor, no thermal factor.

```
data_LiTa2Br8
_chemical_formula_sum 'Li2 Ta4 Br16'
_symmetry_space_group_name_H-M 'C 1 2/m 1'
_symmetry_Int_Tables_number 12
_cell_length_a 13.3486
_cell_length_b 10.0365
_cell_length_c 7.0212
_cell_angle_alpha 90.00
_cell_angle_beta 91.41
_cell_angle_gamma 90.00
loop_
_symmetry_equiv_pos_as_xyz
'x,y,z'
'-x,-y,-z'
'-x,y,-z'
'x,-y,z'
'x+1/2,y+1/2,z'
'-x+1/2,-y+1/2,-z'
'-x+1/2,y+1/2,-z'
'x+1/2,-y+1/2,z'
loop_
_atom_site_label
_atom_site_type_symbol
_atom_site_fract_x
_atom_site_fract_y
_atom_site_fract_z
_atom_site_occupancy
Li1 Li 0.0000 0.0000 0.0000 1
Ta1 Ta 0.1976 0.0000 0.6559 1
Br1 Br 0.1020 0.1831 0.8073 1
Br2 Br 0.1262 0.5000 0.2489 1
Br3 Br 0.1801 0.0000 0.3081 1
```

Largest 12 diffraction maxima, low angle first, 2θ from 15° to 90°:
d 5.321, I = 85, (1 1 -1); d 5.244, I = 47, (1 1 1); d 5.018, I = 58, (0 2 0); d 4.778, I = 42, (2 0 1); d 4.073, I = 80, (3 1 0); d 4.011, I = 61, (2 2 0); d 3.507, I = 100, (0 0 2); d 2.661, I = 26, (2 2 -2); d 2.510, I = 47, (0 4 0); d 2.389, I = 42, (4 0 2); d 2.086, I = 44, (5 3 0); d 2.034, I = 32, (2 2 -3)



This entry pairs a crystal structure of LiTa2TcBr with its calculated powder diffraction line list. Radiation: Cu Kα. Structure: a crystal structure in Alexandria, relaxed with PBE.
Kinematic intensities with the Lorentz-polarization factor, no thermal factor.

```
data_LiTa2TcBr
_chemical_formula_sum 'Li1 Ta2 Tc1 Br1'
_symmetry_space_group_name_H-M 'P 4/m m m'
_symmetry_Int_Tables_number 123
_symmetry_space_group_name_Hall '-P 4 2'
_cell_length_a 4.7912
_cell_length_b 4.7912
_cell_length_c 3.9445
_cell_angle_alpha 90.00
_cell_angle_beta 90.00
_cell_angle_gamma 90.00
loop_
_atom_site_label
_atom_site_type_symbol
_atom_site_fract_x
_atom_site_fract_y
_atom_site_fract_z
_atom_site_occupancy
Li1 Li 0.0000 0.0000 0.0000 1
Ta1 Ta 0.0000 0.5000 0.5000 1
Tc1 Tc 0.5000 0.5000 0.0000 1
Br1 Br 0.0000 0.0000 0.5000 1
```

Largest 12 diffraction maxima, low angle first, 2θ from 15° to 90°:
d 3.944, I = 58, (0 0 1); d 3.388, I = 20, (1 1 0); d 3.045, I = 35, (1 0 1); d 2.570, I = 100, (1 1 1); d 2.396, I = 84, (2 0 0); d 2.048, I = 40, (2 0 1); d 1.972, I = 24, (0 0 2); d 1.883, I = 17, (2 1 1); d 1.694, I = 29, (2 2 0); d 1.523, I = 41, (2 0 2); d 1.414, I = 32, (3 1 1); d 1.285, I = 23, (2 2 2)



This entry pairs a crystal structure of LiTb2Br with its calculated powder diffraction line list. Radiation: Cu Kα. Structure: a crystal structure in Alexandria, relaxed with PBE.
Kinematic intensities with the Lorentz-polarization factor, no thermal factor.

```
data_LiTb2Br
_chemical_formula_sum 'Li3 Tb6 Br3'
_symmetry_space_group_name_H-M 'R -3 m'
_symmetry_Int_Tables_number 166
_symmetry_space_group_name_Hall '-R 3 2"'
_cell_length_a 3.4770
_cell_length_b 3.4770
_cell_length_c 33.7086
_cell_angle_alpha 90.00
_cell_angle_beta 90.00
_cell_angle_gamma 120.00
loop_
_atom_site_label
_atom_site_type_symbol
_atom_site_fract_x
_atom_site_fract_y
_atom_site_fract_z
_atom_site_occupancy
Li1 Li 0.0000 0.0000 0.0000 1
Tb1 Tb 0.0000 0.0000 0.0959 1
Br1 Br 0.0000 0.0000 0.5000 1
```

Largest 12 diffraction maxima, low angle first, 2θ from 15° to 90°:
d 5.618, I = 46, (0 0 6); d 2.999, I = 28, (1 0 1); d 2.964, I = 32, (0 1 2); d 2.836, I = 15, (1 0 4); d 2.809, I = 17, (0 0 12); d 2.749, I = 100, (0 1 5); d 2.553, I = 28, (1 0 7); d 2.246, I = 74, (1 0 10); d 2.148, I = 16, (0 1 11); d 1.739, I = 27, (1 1 0); d 1.470, I = 27, (2 0 5); d 1.375, I = 33, (0 2 10)



This entry pairs a crystal structure of Li4Tb2Br9 with its calculated powder diffraction line list. Radiation: Cu Kα. Structure: a crystal structure in Alexandria, relaxed with PBE.
Kinematic intensities with the Lorentz-polarization factor, no thermal factor.

```
data_Li4Tb2Br9
_chemical_formula_sum 'Li8 Tb4 Br18'
_symmetry_space_group_name_H-M 'P -1'
_symmetry_Int_Tables_number 2
_cell_length_a 7.0493
_cell_length_b 7.0502
_cell_length_c 19.0515
_cell_angle_alpha 90.00
_cell_angle_beta 90.00
_cell_angle_gamma 119.99
loop_
_symmetry_equiv_pos_as_xyz
'x,y,z'
'-x,-y,-z'
loop_
_atom_site_label
_atom_site_type_symbol
_atom_site_fract_x
_atom_site_fract_y
_atom_site_fract_z
_atom_site_occupancy
Li1 Li 0.1661 0.3329 0.1645 1
Li2 Li 0.1664 0.3333 0.4837 1
Li3 Li 0.1672 0.3334 0.6645 1
Li4 Li 0.1670 0.3335 0.9842 1
Tb1 Tb 0.4996 0.9998 0.1595 1
Tb2 Tb 0.4996 0.9999 0.3404 1
Br1 Br 0.1432 0.6628 0.4169 1
Br2 Br 0.1439 0.9808 0.9170 1
Br3 Br 0.1624 0.6432 0.0831 1
Br4 Br 0.1633 0.0194 0.5831 1
Br5 Br 0.1678 0.9999 0.2500 1
Br6 Br 0.1687 0.6684 0.7501 1
Br7 Br 0.4803 0.3370 0.0830 1
Br8 Br 0.4808 0.6436 0.5831 1
Br9 Br 0.5004 0.3319 0.7500 1
```

Largest 12 diffraction maxima, low angle first, 2θ from 15° to 90°:
d 5.140, I = 20, (1 0 -2); d 3.755, I = 15, (1 -1 4); d 3.082, I = 100, (1 1 3); d 3.053, I = 15, (2 0 0); d 2.817, I = 20, (0 1 6); d 2.359, I = 56, (2 -1 6); d 2.035, I = 41, (3 0 0); d 1.815, I = 21, (1 1 9); d 1.698, I = 15, (2 2 3); d 1.541, I = 14, (2 2 6); d 1.252, I = 15, (3 0 12); d 1.229, I = 13, (5 -1 6)